This entry pairs a crystal structure of BaMgGa2Au5 with its simulated powder XRD pattern. Radiation: Cu Ka. Structure: a GGA-PBE-relaxed structure.

The 12 most intense peaks (2θ = 10–80°), in order of rising 2θ:
2theta	d_spacing	I_rel	(hkl)
27.41	3.253	100.0	1 1 1
29.61	3.017	58.6	0 0 3
32.42	2.762	44.2	1 1 2
36.45	2.465	83.5	2 0 0
47.64	1.909	64.4	2 0 3
47.93	1.898	40.9	1 1 4
52.49	1.743	29.5	2 2 0
60.23	1.537	22.8	3 1 1
61.44	1.509	36.6	2 2 3
63.06	1.474	13.5	3 1 2
73.62	1.287	15.1	2 0 6
73.81	1.284	23.0	3 1 4

Crystal structure
Unit cell a=4.931 b=4.931 c=9.051 alpha=90.00 beta=90.00 gamma=90.00
Space group P4/mmm (No. 123)
Inequivalent atoms, fractional coordinates:
Ba: 0.000 0.000 0.000 (multiplicity 1)
Mg: 0.000 0.000 0.500 (multiplicity 1)
Ga: 0.500 0.500 0.279 (multiplicity 2)
Au: 0.000 0.500 0.338 (multiplicity 4)
Au: 0.500 0.500 0.000 (multiplicity 1)


This entry pairs a crystal structure of Ba2GaPAu with its simulated powder XRD pattern. Radiation: Cu Ka. Structure: a GGA-PBE-relaxed structure.

The 12 most intense peaks (2θ = 10–80°), in order of rising 2θ:
2theta	d_spacing	I_rel	(hkl)
10.76	8.222	25.8	0 0 1
11.35	7.794	83.7	1 0 0
23.79	3.740	63.9	1 0 -2
29.34	3.044	44.7	2 1 0
30.14	2.965	50.3	1 1 -2
30.58	2.923	54.7	2 0 -2
30.81	2.902	33.2	2 1 -1
31.21	2.866	100.0	1 1 2
32.67	2.741	40.8	2 0 2
36.89	2.437	65.0	0 2 0
39.30	2.293	62.8	3 1 0
48.64	1.872	30.2	2 2 -2

Crystal structure
Unit cell a=7.810 b=4.875 c=8.239 alpha=90.00 beta=93.68 gamma=90.00
Space group P2_1/m (No. 11)
Inequivalent atoms, fractional coordinates:
Ba: 0.192 0.250 0.497 (multiplicity 2)
Ba: 0.239 0.250 0.989 (multiplicity 2)
Ga: 0.432 0.750 0.305 (multiplicity 2)
P: 0.125 0.750 0.236 (multiplicity 2)
Au: 0.444 0.750 0.695 (multiplicity 2)


This entry pairs a crystal structure of BaGaSnAu6 with its simulated powder XRD pattern. Radiation: Cu Ka. Structure: a GGA-PBE-relaxed structure.

The 12 most intense peaks (2θ = 10–80°), in order of rising 2θ:
2theta	d_spacing	I_rel	(hkl)
19.78	4.488	26.0	0 2 0
23.87	3.727	37.6	0 0 4
24.10	3.693	23.1	1 2 1
27.54	3.239	17.7	2 0 2
31.87	2.808	49.3	2 2 0
40.18	2.244	100.0	0 4 0
41.52	2.175	25.2	0 2 6
41.84	2.159	11.6	3 0 3
46.67	1.946	13.6	3 2 3
47.22	1.925	11.3	0 4 4
49.33	1.847	10.5	2 4 2
72.96	1.297	11.9	2 6 4

Crystal structure
Unit cell a=7.192 b=8.990 c=14.909 alpha=90.00 beta=90.00 gamma=90.00
Space group Imma (No. 74)
Inequivalent atoms, fractional coordinates:
Ba: 0.000 0.250 0.097 (multiplicity 4)
Ga: 0.250 0.250 0.750 (multiplicity 4)
Sn: 0.000 0.000 0.500 (multiplicity 4)
Au: 0.000 0.250 0.375 (multiplicity 4)
Au: 0.000 0.250 0.876 (multiplicity 4)
Au: 0.208 0.016 0.656 (multiplicity 16)


This entry pairs a crystal structure of BaSrGaAu with its simulated powder XRD pattern. Radiation: Cu Ka. Structure: a GGA-PBE-relaxed structure.

The 12 most intense peaks (2θ = 10–80°), in order of rising 2θ:
2theta	d_spacing	I_rel	(hkl)
15.27	5.802	39.1	0 0 2
19.48	4.556	17.6	0 1 1
27.41	3.254	100.0	1 1 1
29.29	3.049	59.1	0 1 3
35.21	2.549	59.5	1 1 3
36.27	2.477	32.2	0 2 0
36.51	2.461	37.4	1 0 4
38.75	2.324	26.8	2 0 0
49.31	1.848	27.9	2 1 3
52.41	1.746	26.5	1 2 4
54.12	1.695	20.3	2 2 0
64.31	1.448	16.8	1 2 6

Crystal structure
Unit cell a=4.647 b=4.954 c=11.604 alpha=90.00 beta=90.00 gamma=90.00
Space group Amm2 (No. 38)
Inequivalent atoms, fractional coordinates:
Ba: 0.000 0.000 0.000 (multiplicity 2)
Sr: 0.500 0.000 0.711 (multiplicity 2)
Ga: 0.000 0.000 0.295 (multiplicity 2)
Au: 0.500 0.000 0.406 (multiplicity 2)


This entry pairs a crystal structure of BaZnGaAu2 with its simulated powder XRD pattern. Radiation: Cu Ka. Structure: a GGA-PBE-relaxed structure.

The 12 most intense peaks (2θ = 10–80°), in order of rising 2θ:
2theta	d_spacing	I_rel	(hkl)
21.01	4.229	26.6	1 0 1
27.76	3.214	50.4	1 1 0
30.45	2.935	100.0	1 0 3
31.88	2.807	33.7	1 1 2
39.66	2.273	61.3	2 0 0
42.10	2.146	38.6	1 1 4
44.02	2.057	29.8	1 0 5
50.81	1.797	48.5	2 1 3
57.34	1.607	20.8	2 2 0
60.73	1.525	23.1	2 1 5
73.64	1.286	14.8	3 1 4
78.58	1.217	16.6	2 0 8

Crystal structure
Unit cell a=4.545 b=4.545 c=11.535 alpha=90.00 beta=90.00 gamma=90.00
Space group I-4m2 (No. 119)
Inequivalent atoms, fractional coordinates:
Ba: 0.000 0.000 0.000 (multiplicity 2)
Zn: 0.000 0.500 0.250 (multiplicity 2)
Ga: 0.000 0.500 0.750 (multiplicity 2)
Au: 0.000 0.000 0.372 (multiplicity 4)


This entry pairs a crystal structure of Ba3ZnGa2Au6 with its simulated powder XRD pattern. Radiation: Cu Ka. Structure: a GGA-PBE-relaxed structure.

The 12 most intense peaks (2θ = 10–80°), in order of rising 2θ:
2theta	d_spacing	I_rel	(hkl)
10.63	8.320	35.2	0 0 1
18.36	4.834	19.7	0 1 1
21.36	4.160	16.1	0 0 2
30.10	2.969	16.9	2 0 0
32.01	2.796	100.0	0 2 1
32.28	2.773	29.8	0 0 3
37.20	2.417	88.9	2 0 2
44.71	2.027	18.8	0 2 3
53.45	1.714	28.8	2 2 0
53.81	1.704	27.9	0 2 4
63.83	1.458	21.5	2 2 3
66.92	1.398	13.7	0 4 2

Crystal structure
Unit cell a=6.8569 b=6.8569 c=8.3204 alpha=90.00 beta=90.00 gamma=120.00
Space group P-3m1 (No. 164)
Inequivalent atoms, fractional coordinates:
Ba: 0.0000 0.0000 0.0000 (multiplicity 1)
Ba: 0.3333 0.6667 0.6789 (multiplicity 2)
Zn: 0.0000 0.0000 0.5000 (multiplicity 1)
Ga: 0.3333 0.6667 0.0929 (multiplicity 2)
Au: 0.1821 0.3642 0.3215 (multiplicity 6)